Structure and calculated XRD peak list of Ho5Tl4Ru (a crystal structure in Alexandria, relaxed with PBE; Cu Kα, 1.54184 Å).
Peak positions follow from Bragg's law for the DFT cell and can differ from measured ones.

Principal peaks in the range 5° ≤ 2θ ≤ 70°, sorted by position:
| 2theta | d [Å] | I (rel.) | hkl |
| --- | --- | --- | --- |
| 30.82 | 2.901 | 9 | 1 0 4 |
| 33.42 | 2.681 | 100 | 1 0 5 |
| 36.56 | 2.458 | 45 | 1 1 0 |
| 42.93 | 2.107 | 8 | 0 0 10 |
| 52.66 | 1.738 | 16 | 2 0 0 |
| 57.63 | 1.599 | 14 | 1 1 10 |
| 63.82 | 1.458 | 31 | 2 1 5 |
| 67.87 | 1.381 | 8 | 1 0 14 |

Structure:
Lattice parameters (Å, degrees): 3.4761 3.4761 21.0655 90.00 90.00 90.00
Fractional coordinates of all 10 atoms:
Ho  0.0000  0.0000  0.0000
Ho  0.0000  0.0000  0.2077
Ho  0.0000  0.0000  0.4220
Ho  0.0000  0.0000  0.5780
Ho  0.0000  0.0000  0.7923
Tl  0.5000  0.5000  0.1038
Tl  0.5000  0.5000  0.3114
Tl  0.5000  0.5000  0.6886
Tl  0.5000  0.5000  0.8962
Ru  0.5000  0.5000  0.5000